# 1
For La2Sm7Tm2, a DFT-relaxed cell (PBE, Alexandria) gives the computed PXRD pattern in this record (Cu Kα (weighted mean of Kα1 and Kα2)).

Peak list (12 most intense, 2θ from 10° to 90°, by angle)
- (3 1 -4), 2θ = 28.0°, intensity 24
- (4 0 2), 2θ = 30.8°, intensity 25
- (2 2 1), 2θ = 32.0°, intensity 100
- (7 1 -2), 2θ = 42.1°, intensity 11
- (3 3 -4), 2θ = 49.5°, intensity 13
- (6 0 -8), 2θ = 49.6°, intensity 7
- (6 2 3), 2θ = 55.5°, intensity 21
- (7 3 -2), 2θ = 59.4°, intensity 15
- (10 0 -6), 2θ = 59.5°, intensity 8
- (8 2 -7), 2θ = 60.2°, intensity 16
- (5 5 -3), 2θ = 81.6°, intensity 9
- (11 3 0), 2θ = 85.0°, intensity 7

```
data_La2Sm7Tm2
_space_group_name_H-M_alt 'C 1 2/c 1'
_space_group_IT_number 15
_cell_length_a 16.0350
_cell_length_b 6.3796
_cell_length_c 15.8122
_cell_angle_alpha 90.00
_cell_angle_beta 111.94
_cell_angle_gamma 90.00
loop_
_space_group_symop_operation_xyz
'x,y,z'
'-x,-y,-z'
'-x,y,-z+1/2'
'x,-y,z+1/2'
'x+1/2,y+1/2,z'
'-x+1/2,-y+1/2,-z'
'-x+1/2,y+1/2,-z+1/2'
'x+1/2,-y+1/2,z+1/2'
loop_
_atom_site_label
_atom_site_type_symbol
_atom_site_fract_x
_atom_site_fract_y
_atom_site_fract_z
_atom_site_occupancy
La1 La 0.1369 0.1675 0.4769 1
Sm1 Sm 0.0000 0.3312 0.2500 1
Sm2 Sm 0.0476 0.1672 0.6600 1
Sm3 Sm 0.0932 0.3354 0.0712 1
Sm4 Sm 0.1822 0.3352 0.8837 1
Tm1 Tm 0.2268 0.1653 0.2931 1
```

***

# 2
For La8SmTm5, a DFT-relaxed cell (PBE, Alexandria) gives the computed PXRD pattern in this record (Cu Kα (weighted mean of Kα1 and Kα2)).

Peak list (12 most intense, 2θ from 10° to 90°, by angle)
- (2 -1 1), 2θ = 25.6°, intensity 45
- (-1 1 2), 2θ = 28.8°, intensity 30
- (-2 2 1), 2θ = 29.1°, intensity 40
- (1 2 -1), 2θ = 31.0°, intensity 89
- (1 1 -3), 2θ = 31.4°, intensity 100
- (2 -2 2), 2θ = 31.6°, intensity 75
- (-3 1 1), 2θ = 31.8°, intensity 86
- (2 0 1), 2θ = 32.1°, intensity 49
- (1 -3 2), 2θ = 32.3°, intensity 41
- (0 1 2), 2θ = 33.3°, intensity 57
- (2 -3 0), 2θ = 33.8°, intensity 49
- (1 -1 4), 2θ = 48.8°, intensity 26

```
data_La8SmTm5
_space_group_name_H-M_alt 'P 1'
_space_group_IT_number 1
_cell_length_a 8.6021
_cell_length_b 8.6657
_cell_length_c 8.7273
_cell_angle_alpha 112.93
_cell_angle_beta 98.36
_cell_angle_gamma 116.93
loop_
_space_group_symop_operation_xyz
'x,y,z'
loop_
_atom_site_label
_atom_site_type_symbol
_atom_site_fract_x
_atom_site_fract_y
_atom_site_fract_z
_atom_site_occupancy
La1 La 0.0000 0.0000 0.0000 1
La2 La 0.0146 0.4119 0.8097 1
La3 La 0.3874 0.2802 0.8534 1
La4 La 0.4145 0.0036 0.4391 1
La5 La 0.5282 0.7609 0.0565 1
La6 La 0.6766 0.5437 0.6813 1
La7 La 0.7970 0.8944 0.5139 1
La8 La 0.8507 0.2805 0.3078 1
Sm1 Sm 0.4817 0.2798 0.2196 1
Tm1 Tm 0.1316 0.7619 0.6323 1
Tm2 Tm 0.1834 0.2330 0.4644 1
Tm3 Tm 0.2674 0.5303 0.2751 1
Tm4 Tm 0.6214 0.0506 0.8498 1
Tm5 Tm 0.8986 0.6315 0.1671 1
```

***

# 3
For La2Sm3Tm3, a DFT-relaxed cell (PBE, Alexandria) gives the computed PXRD pattern in this record (Cu Kα (weighted mean of Kα1 and Kα2)).

Peak list (12 most intense, 2θ from 10° to 90°, by angle)
- (1 1 4), 2θ = 30.4°, intensity 100
- (0 2 0), 2θ = 35.0°, intensity 17
- (2 0 0), 2θ = 35.2°, intensity 17
- (0 0 8), 2θ = 35.4°, intensity 16
- (2 2 0), 2θ = 50.5°, intensity 12
- (0 2 8), 2θ = 50.6°, intensity 12
- (2 0 8), 2θ = 50.8°, intensity 12
- (1 3 4), 2θ = 59.9°, intensity 15
- (3 1 4), 2θ = 60.1°, intensity 14
- (1 1 12), 2θ = 60.5°, intensity 14
- (2 2 8), 2θ = 63.2°, intensity 12
- (3 3 4), 2θ = 82.2°, intensity 6

```
data_La2Sm3Tm3
_space_group_name_H-M_alt 'I m m m'
_space_group_IT_number 71
_space_group_name_Hall '-I 2 2'
_cell_length_a 5.1047
_cell_length_b 5.1259
_cell_length_c 20.2811
_cell_angle_alpha 90.00
_cell_angle_beta 90.00
_cell_angle_gamma 90.00
loop_
_atom_site_label
_atom_site_type_symbol
_atom_site_fract_x
_atom_site_fract_y
_atom_site_fract_z
_atom_site_occupancy
La1 La 0.0000 0.0000 0.2503 1
Sm1 Sm 0.0000 0.0000 0.0000 1
Sm2 Sm 0.0000 0.5000 0.1215 1
Tm1 Tm 0.0000 0.0000 0.5000 1
Tm2 Tm 0.0000 0.5000 0.3782 1
```

***

# 4
For La2Sm3Tm8, a DFT-relaxed cell (PBE, Alexandria) gives the computed PXRD pattern in this record (Cu Kα (weighted mean of Kα1 and Kα2)).

Peak list (12 most intense, 2θ from 10° to 90°, by angle)
- (2 1 2), 2θ = 30.7°, intensity 100
- (0 1 3), 2θ = 30.8°, intensity 99
- (2 0 -1), 2θ = 35.6°, intensity 67
- (1 -1 3), 2θ = 35.7°, intensity 33
- (3 3 1), 2θ = 51.1°, intensity 12
- (3 -1 2), 2θ = 51.3°, intensity 48
- (4 1 1), 2θ = 60.8°, intensity 14
- (3 4 4), 2θ = 60.9°, intensity 14
- (3 0 5), 2θ = 61.1°, intensity 43
- (2 -3 3), 2θ = 61.2°, intensity 14
- (4 2 4), 2θ = 63.9°, intensity 12
- (0 2 6), 2θ = 64.2°, intensity 12

```
data_La2Sm3Tm8
_space_group_name_H-M_alt 'P -1'
_space_group_IT_number 2
_cell_length_a 6.1825
_cell_length_b 7.9586
_cell_length_c 9.4093
_cell_angle_alpha 75.35
_cell_angle_beta 70.92
_cell_angle_gamma 74.77
loop_
_space_group_symop_operation_xyz
'x,y,z'
'-x,-y,-z'
loop_
_atom_site_label
_atom_site_type_symbol
_atom_site_fract_x
_atom_site_fract_y
_atom_site_fract_z
_atom_site_occupancy
La1 La 0.2300 0.1176 0.4634 1
Sm1 Sm 0.0000 0.5000 0.0000 1
Sm2 Sm 0.4622 0.7306 0.9245 1
Tm1 Tm 0.0757 0.0365 0.1516 1
Tm2 Tm 0.1564 0.5775 0.3064 1
Tm3 Tm 0.3071 0.6493 0.6160 1
Tm4 Tm 0.3852 0.1942 0.7703 1
```

***

# 5
For La5Sm8Tm, a DFT-relaxed cell (PBE, Alexandria) gives the computed PXRD pattern in this record (Cu Kα (weighted mean of Kα1 and Kα2)).

Peak list (12 most intense, 2θ from 10° to 90°, by angle)
- (2 -2 0), 2θ = 29.4°, intensity 39
- (0 1 -3), 2θ = 30.4°, intensity 53
- (0 2 1), 2θ = 30.6°, intensity 100
- (0 3 -2), 2θ = 31.8°, intensity 46
- (2 0 1), 2θ = 32.3°, intensity 44
- (-2 1 3), 2θ = 40.6°, intensity 16
- (2 3 -1), 2θ = 46.8°, intensity 10
- (-4 1 1), 2θ = 50.8°, intensity 13
- (2 2 -5), 2θ = 53.1°, intensity 10
- (0 1 4), 2θ = 53.4°, intensity 11
- (4 0 -4), 2θ = 60.3°, intensity 15
- (-4 2 5), 2θ = 76.8°, intensity 10

```
data_La5Sm8Tm
_space_group_name_H-M_alt 'P 1'
_space_group_IT_number 1
_cell_length_a 7.1928
_cell_length_b 8.7884
_cell_length_c 9.0959
_cell_angle_alpha 114.37
_cell_angle_beta 101.50
_cell_angle_gamma 101.62
loop_
_space_group_symop_operation_xyz
'x,y,z'
loop_
_atom_site_label
_atom_site_type_symbol
_atom_site_fract_x
_atom_site_fract_y
_atom_site_fract_z
_atom_site_occupancy
La1 La 0.0000 0.0000 0.0000 1
La2 La 0.0283 0.8341 0.2817 1
La3 La 0.1200 0.5902 0.8654 1
La4 La 0.3294 0.7150 0.5693 1
La5 La 0.6378 0.4167 0.1389 1
Sm1 Sm 0.1453 0.4221 0.1439 1
Sm2 Sm 0.2190 0.1486 0.7255 1
Sm3 Sm 0.4238 0.2642 0.4188 1
Sm4 Sm 0.5039 0.9981 0.0038 1
Sm5 Sm 0.6125 0.5881 0.8618 1
Sm6 Sm 0.7232 0.1520 0.7241 1
Sm7 Sm 0.8219 0.7080 0.5681 1
Sm8 Sm 0.9236 0.2694 0.4162 1
Tm1 Tm 0.5315 0.8329 0.2818 1
```

***

# 6
For La3SmTm2, a DFT-relaxed cell (PBE, Alexandria) gives the computed PXRD pattern in this record (Cu Kα (weighted mean of Kα1 and Kα2)).

Peak list (12 most intense, 2θ from 10° to 90°, by angle)
- (2 1 1), 2θ = 28.4°, intensity 42
- (0 2 2), 2θ = 29.1°, intensity 55
- (0 6 0), 2θ = 30.4°, intensity 50
- (2 4 0), 2θ = 31.8°, intensity 43
- (2 3 1), 2θ = 31.9°, intensity 100
- (0 4 2), 2θ = 34.2°, intensity 48
- (2 2 2), 2θ = 38.3°, intensity 37
- (4 0 0), 2θ = 49.9°, intensity 23
- (2 3 3), 2θ = 51.2°, intensity 26
- (2 8 2), 2θ = 56.3°, intensity 30
- (4 6 0), 2θ = 59.6°, intensity 21
- (4 4 2), 2θ = 61.8°, intensity 22

```
data_La3SmTm2
_space_group_name_H-M_alt 'I m m a'
_space_group_IT_number 74
_space_group_name_Hall '-I 2b 2'
_cell_length_a 7.3143
_cell_length_b 17.6133
_cell_length_c 6.5374
_cell_angle_alpha 90.00
_cell_angle_beta 90.00
_cell_angle_gamma 90.00
loop_
_atom_site_label
_atom_site_type_symbol
_atom_site_fract_x
_atom_site_fract_y
_atom_site_fract_z
_atom_site_occupancy
La1 La 0.0000 0.0695 0.2430 1
La2 La 0.0000 0.2500 0.4785 1
Sm1 Sm 0.0000 0.2500 0.9779 1
Tm1 Tm 0.2500 0.1049 0.7500 1
```

***

# 7
For La3SmTm8, a DFT-relaxed cell (PBE, Alexandria) gives the computed PXRD pattern in this record (Cu Kα (weighted mean of Kα1 and Kα2)).

Peak list (12 most intense, 2θ from 10° to 90°, by angle)
- (0 0 2), 2θ = 15.5°, intensity 22
- (1 0 3), 2θ = 27.2°, intensity 21
- (0 4 0), 2θ = 31.4°, intensity 61
- (1 2 3), 2θ = 31.5°, intensity 100
- (2 2 0), 2θ = 32.1°, intensity 78
- (0 2 4), 2θ = 35.1°, intensity 27
- (2 2 2), 2θ = 35.8°, intensity 54
- (2 4 2), 2θ = 45.5°, intensity 22
- (3 2 3), 2θ = 51.7°, intensity 25
- (1 6 3), 2θ = 55.9°, intensity 20
- (2 0 6), 2θ = 56.2°, intensity 23
- (2 4 6), 2θ = 65.8°, intensity 30

```
data_La3SmTm8
_space_group_name_H-M_alt 'I m m m'
_space_group_IT_number 71
_space_group_name_Hall '-I 2 2'
_cell_length_a 6.3862
_cell_length_b 11.4005
_cell_length_c 11.4484
_cell_angle_alpha 90.00
_cell_angle_beta 90.00
_cell_angle_gamma 90.00
loop_
_atom_site_label
_atom_site_type_symbol
_atom_site_fract_x
_atom_site_fract_y
_atom_site_fract_z
_atom_site_occupancy
La1 La 0.0000 0.0000 0.0000 1
La2 La 0.0000 0.2478 0.5000 1
Sm1 Sm 0.0000 0.5000 0.0000 1
Tm1 Tm 0.0000 0.2506 0.1739 1
Tm2 Tm 0.2488 0.0000 0.2533 1
```

***

# 8
For La3Sm8Tm2, a DFT-relaxed cell (PBE, Alexandria) gives the computed PXRD pattern in this record (Cu Kα (weighted mean of Kα1 and Kα2)).

Peak list (12 most intense, 2θ from 10° to 90°, by angle)
- (1 -1 4), 2θ = 29.1°, intensity 25
- (-1 2 1), 2θ = 29.3°, intensity 26
- (2 0 -1), 2θ = 29.5°, intensity 14
- (1 2 4), 2θ = 29.7°, intensity 17
- (2 0 3), 2θ = 30.3°, intensity 13
- (1 3 -1), 2θ = 30.6°, intensity 23
- (2 1 -2), 2θ = 31.1°, intensity 55
- (2 2 3), 2θ = 31.3°, intensity 51
- (0 3 1), 2θ = 31.4°, intensity 39
- (0 1 5), 2θ = 31.7°, intensity 100
- (2 -1 2), 2θ = 33.0°, intensity 34
- (1 6 0), 2θ = 60.8°, intensity 12

```
data_La3Sm8Tm2
_space_group_name_H-M_alt 'P -1'
_space_group_IT_number 2
_cell_length_a 6.8960
_cell_length_b 9.2027
_cell_length_c 15.1529
_cell_angle_alpha 86.28
_cell_angle_beta 79.01
_cell_angle_gamma 71.16
loop_
_space_group_symop_operation_xyz
'x,y,z'
'-x,-y,-z'
loop_
_atom_site_label
_atom_site_type_symbol
_atom_site_fract_x
_atom_site_fract_y
_atom_site_fract_z
_atom_site_occupancy
La1 La 0.0000 0.0000 0.0000 1
La2 La 0.0910 0.4469 0.6633 1
La3 La 0.2692 0.9801 0.2117 1
La4 La 0.5000 0.5000 0.5000 1
Sm1 Sm 0.0331 0.8316 0.4336 1
Sm2 Sm 0.1747 0.1272 0.7806 1
Sm3 Sm 0.2075 0.8106 0.6522 1
Sm4 Sm 0.2304 0.6156 0.0604 1
Sm5 Sm 0.2744 0.2645 0.3850 1
Sm6 Sm 0.3313 0.2556 0.9519 1
Sm7 Sm 0.4475 0.5951 0.2623 1
Sm8 Sm 0.4873 0.7398 0.8496 1
Tm1 Tm 0.0388 0.6401 0.8579 1
Tm2 Tm 0.4968 0.8839 0.4235 1
```

***

# 9
For La12SmTm6, a DFT-relaxed cell (PBE, Alexandria) gives the computed PXRD pattern in this record (Cu Kα (weighted mean of Kα1 and Kα2)).

Peak list (12 most intense, 2θ from 10° to 90°, by angle)
- (3 0 0), 2θ = 20.6°, intensity 14
- (1 3 1), 2θ = 26.2°, intensity 9
- (2 -1 3), 2θ = 28.2°, intensity 44
- (4 0 1), 2θ = 28.9°, intensity 15
- (3 1 2), 2θ = 30.2°, intensity 18
- (1 4 0), 2θ = 31.7°, intensity 100
- (0 3 3), 2θ = 33.0°, intensity 61
- (4 -2 3), 2θ = 35.1°, intensity 40
- (5 2 3), 2θ = 51.2°, intensity 26
- (6 3 0), 2θ = 56.4°, intensity 9
- (1 7 3), 2θ = 60.1°, intensity 14
- (1 4 6), 2θ = 62.4°, intensity 22

```
data_La12SmTm6
_space_group_name_H-M_alt 'R -3'
_space_group_IT_number 148
_space_group_name_Hall '-R 3'
_cell_length_a 14.9490
_cell_length_b 14.9490
_cell_length_c 10.4984
_cell_angle_alpha 90.00
_cell_angle_beta 90.00
_cell_angle_gamma 120.00
loop_
_atom_site_label
_atom_site_type_symbol
_atom_site_fract_x
_atom_site_fract_y
_atom_site_fract_z
_atom_site_occupancy
La1 La 0.0478 0.2557 0.0798 1
La2 La 0.0643 0.2231 0.4200 1
Sm1 Sm 0.0000 0.0000 0.0000 1
Tm1 Tm 0.0502 0.2101 0.7603 1
```

***

# 10
For LaSm4Tm8, a DFT-relaxed cell (PBE, Alexandria) gives the computed PXRD pattern in this record (Cu Kα (weighted mean of Kα1 and Kα2)).

Peak list (12 most intense, 2θ from 10° to 90°, by angle)
- (0 2 1), 2θ = 19.8°, intensity 12
- (2 0 2), 2θ = 22.9°, intensity 10
- (2 1 1), 2θ = 25.6°, intensity 5
- (2 2 0), 2θ = 32.6°, intensity 100
- (2 0 5), 2θ = 38.4°, intensity 6
- (4 0 4), 2θ = 46.8°, intensity 18
- (2 2 6), 2θ = 52.7°, intensity 4
- (2 0 8), 2θ = 58.1°, intensity 9
- (6 0 0), 2θ = 58.2°, intensity 27
- (0 4 8), 2θ = 68.3°, intensity 6
- (4 4 0), 2θ = 68.4°, intensity 5
- (4 2 8), 2θ = 77.8°, intensity 15

```
data_LaSm4Tm8
_space_group_name_H-M_alt 'R -3 m'
_space_group_IT_number 166
_space_group_name_Hall '-R 3 2"'
_cell_length_a 10.9739
_cell_length_b 10.9739
_cell_length_c 13.4763
_cell_angle_alpha 90.00
_cell_angle_beta 90.00
_cell_angle_gamma 120.00
loop_
_atom_site_label
_atom_site_type_symbol
_atom_site_fract_x
_atom_site_fract_y
_atom_site_fract_z
_atom_site_occupancy
La1 La 0.0000 0.0000 0.0000 1
Sm1 Sm 0.0000 0.0000 0.5000 1
Sm2 Sm 0.0000 0.5000 0.5000 1
Tm1 Tm 0.0000 0.0000 0.2614 1
Tm2 Tm 0.0152 0.5076 0.2467 1
```

***

# 11
For La3SmTm6, a DFT-relaxed cell (PBE, Alexandria) gives the computed PXRD pattern in this record (Cu Kα (weighted mean of Kα1 and Kα2)).

Peak list (12 most intense, 2θ from 10° to 90°, by angle)
- (2 2 2), 2θ = 28.3°, intensity 80
- (3 1 2), 2θ = 30.9°, intensity 42
- (4 0 0), 2θ = 31.2°, intensity 58
- (0 2 3), 2θ = 31.8°, intensity 60
- (2 4 0), 2θ = 32.3°, intensity 100
- (2 4 1), 2θ = 33.7°, intensity 41
- (2 2 3), 2θ = 35.6°, intensity 60
- (4 2 3), 2θ = 45.2°, intensity 20
- (0 6 2), 2θ = 47.2°, intensity 22
- (4 6 2), 2θ = 57.7°, intensity 18
- (0 0 6), 2θ = 58.8°, intensity 17
- (2 0 6), 2θ = 61.2°, intensity 23

```
data_La3SmTm6
_space_group_name_H-M_alt 'C m c 21'
_space_group_IT_number 36
_cell_length_a 11.4718
_cell_length_b 12.6614
_cell_length_c 9.4168
_cell_angle_alpha 90.00
_cell_angle_beta 90.00
_cell_angle_gamma 90.00
loop_
_space_group_symop_operation_xyz
'x,y,z'
'-x,-y,z+1/2'
'-x,y,z'
'x,-y,z+1/2'
'x+1/2,y+1/2,z'
'-x+1/2,-y+1/2,z+1/2'
'-x+1/2,y+1/2,z'
'x+1/2,-y+1/2,z+1/2'
loop_
_atom_site_label
_atom_site_type_symbol
_atom_site_fract_x
_atom_site_fract_y
_atom_site_fract_z
_atom_site_occupancy
La1 La 0.0000 0.0224 0.0000 1
La2 La 0.1953 0.3911 0.8987 1
Sm1 Sm 0.0000 0.2574 0.3179 1
Tm1 Tm 0.0000 0.2389 0.7224 1
Tm2 Tm 0.0000 0.4894 0.6373 1
Tm3 Tm 0.2204 0.0919 0.7179 1
Tm4 Tm 0.2386 0.3412 0.5546 1
```

***

# 12
For La4SmTm6, a DFT-relaxed cell (PBE, Alexandria) gives the computed PXRD pattern in this record (Cu Kα (weighted mean of Kα1 and Kα2)).

Peak list (12 most intense, 2θ from 10° to 90°, by angle)
- (1 1 4), 2θ = 28.2°, intensity 54
- (2 0 2), 2θ = 28.5°, intensity 61
- (1 0 5), 2θ = 29.5°, intensity 35
- (2 1 1), 2θ = 30.1°, intensity 100
- (2 1 3), 2θ = 33.7°, intensity 22
- (2 0 4), 2θ = 34.0°, intensity 78
- (1 1 6), 2θ = 37.0°, intensity 31
- (2 2 0), 2θ = 37.7°, intensity 31
- (2 1 5), 2θ = 40.0°, intensity 27
- (3 2 5), 2θ = 56.2°, intensity 22
- (4 1 1), 2θ = 56.5°, intensity 28
- (1 1 10), 2θ = 57.8°, intensity 23

```
data_La4SmTm6
_space_group_name_H-M_alt 'I -4 2 m'
_space_group_IT_number 121
_space_group_name_Hall 'I -4 2'
_cell_length_a 6.7456
_cell_length_b 6.7456
_cell_length_c 16.9227
_cell_angle_alpha 90.00
_cell_angle_beta 90.00
_cell_angle_gamma 90.00
loop_
_atom_site_label
_atom_site_type_symbol
_atom_site_fract_x
_atom_site_fract_y
_atom_site_fract_z
_atom_site_occupancy
La1 La 0.1901 0.1901 0.1764 1
Sm1 Sm 0.0000 0.0000 0.0000 1
Tm1 Tm 0.0000 0.5000 0.0000 1
Tm2 Tm 0.1753 0.1753 0.3816 1
```